Entry 1:
This entry pairs a crystal structure of Al2Mo3C with its simulated X-ray powder pattern. Radiation: Cu Kα (weighted mean of Kα1 and Kα2). Structure: a DFT-relaxed cell (GGA-PBE, the Materials Project).

Peak list (12 most intense, 5 to 70 degrees two-theta, low angle first)
2θ/deg  d_spacing  I (rel.)  h k l
18.21  4.872  12  1 1 0
22.35  3.978  18  1 1 1
28.98  3.081  20  2 1 0
31.81  2.813  12  2 1 1
39.23  2.297  100  2 2 1
41.44  2.179  58  3 1 0
43.57  2.077  25  3 1 1
56.68  1.624  13  4 1 1
60.05  1.541  10  4 2 0
63.31  1.469  7  3 3 2
68.04  1.378  8  4 3 0
69.57  1.351  21  4 3 1

Crystal structure
```
data_Al2Mo3C
_chemical_formula_sum 'Al8 Mo12 C4'
_space_group_name_H-M_alt 'P 41 3 2'
_space_group_IT_number 213
_space_group_name_Hall 'P 4bd 2ab 3'
_cell_length_a 6.890
_cell_length_b 6.890
_cell_length_c 6.890
_cell_angle_alpha 90.00
_cell_angle_beta 90.00
_cell_angle_gamma 90.00
loop_
_atom_site_label
_atom_site_type_symbol
_atom_site_fract_x
_atom_site_fract_y
_atom_site_fract_z
Al1 Al 0.067 0.067 0.067
Mo1 Mo 0.048 0.875 0.702
C1 C 0.125 0.625 0.875
```



Entry 2:
This entry pairs a crystal structure of ZnSnF5 with its simulated X-ray powder pattern. Radiation: Cu Kα (weighted mean of Kα1 and Kα2). Structure: a DFT-relaxed cell (GGA-PBE, the Materials Project).

Peak list (12 most intense, 5 to 70 degrees two-theta, low angle first)
2θ/deg  d_spacing  I (rel.)  h k l
22.68  3.921  69  2 0 0
24.87  3.581  100  1 1 -2
25.57  3.483  44  0 2 0
33.90  2.644  38  3 1 -2
34.44  2.604  21  2 2 0
43.35  2.087  17  2 0 -4
44.65  2.029  24  1 3 -2
46.30  1.961  17  4 0 0
50.65  1.802  24  1 3 2
51.01  1.790  18  2 2 -4
53.26  1.720  24  5 1 -2
56.50  1.629  16  4 2 -4

Crystal structure
```
data_ZnSnF5
_chemical_formula_sum 'Zn4 Sn4 F20'
_space_group_name_H-M_alt 'C 1 2/c 1'
_space_group_IT_number 15
_cell_length_a 8.890
_cell_length_b 6.966
_cell_length_c 8.349
_cell_angle_alpha 90.00
_cell_angle_beta 118.09
_cell_angle_gamma 90.00
loop_
_space_group_symop_operation_xyz
'x,y,z'
'-x,-y,-z'
'-x,y,-z+1/2'
'x,-y,z+1/2'
'x+1/2,y+1/2,z'
'-x+1/2,-y+1/2,-z'
'-x+1/2,y+1/2,-z+1/2'
'x+1/2,-y+1/2,z+1/2'
loop_
_atom_site_label
_atom_site_type_symbol
_atom_site_fract_x
_atom_site_fract_y
_atom_site_fract_z
Zn1 Zn 0.000 0.029 0.250
Sn1 Sn 0.000 0.500 0.000
F1 F 0.000 0.425 0.750
F2 F 0.030 0.203 0.452
F3 F 0.231 0.062 0.853
```



Entry 3:
This entry pairs a crystal structure of Rb2ScCuF6 with its simulated X-ray powder pattern. Radiation: Cu Kα (weighted mean of Kα1 and Kα2). Structure: a DFT-relaxed cell (GGA-PBE, the Materials Project).

Peak list (9 most intense, 5 to 70 degrees two-theta, low angle first)
2θ/deg  d_spacing  I (rel.)  h k l
29.15  3.064  100  2 2 0
34.32  2.613  2  3 1 1
35.90  2.502  19  2 2 2
41.69  2.166  48  4 0 0
45.63  1.988  2  3 3 1
46.89  1.938  1  4 2 0
51.68  1.769  39  4 2 2
60.43  1.532  28  4 4 0
68.48  1.370  17  6 2 0

Crystal structure
```
data_Rb2ScCuF6
_chemical_formula_sum 'Rb8 Sc4 Cu4 F24'
_space_group_name_H-M_alt 'F m -3 m'
_space_group_IT_number 225
_space_group_name_Hall '-F 4 2 3'
_cell_length_a 8.666
_cell_length_b 8.666
_cell_length_c 8.666
_cell_angle_alpha 90.00
_cell_angle_beta 90.00
_cell_angle_gamma 90.00
loop_
_atom_site_label
_atom_site_type_symbol
_atom_site_fract_x
_atom_site_fract_y
_atom_site_fract_z
Rb1 Rb 0.250 0.250 0.250
Sc1 Sc 0.000 0.000 0.000
Cu1 Cu 0.000 0.000 0.500
F1 F 0.000 0.000 0.236
```



Entry 4:
This entry pairs a crystal structure of Sm3Mg2TiS8 with its simulated X-ray powder pattern. Radiation: Cu Kα (weighted mean of Kα1 and Kα2). Structure: a DFT-relaxed cell (GGA-PBE, the Materials Project).

Peak list (12 most intense, 5 to 70 degrees two-theta, low angle first)
2θ/deg  d_spacing  I (rel.)  h k l
13.71  6.457  54  1 0 1
13.99  6.328  55  0 0 3
26.38  3.378  66  0 2 1
26.53  3.360  33  1 1 3
26.83  3.323  18  0 1 5
32.18  2.782  100  0 2 4
35.24  2.547  25  2 0 5
42.18  2.143  16  1 2 5
45.78  1.982  47  2 2 0
46.52  1.952  44  2 0 8
48.08  1.892  20  2 2 3
57.05  1.614  18  4 0 4

Crystal structure
```
data_Sm3Mg2TiS8
_chemical_formula_sum 'Sm9 Mg6 Ti3 S24'
_space_group_name_H-M_alt 'R -3 m'
_space_group_IT_number 166
_space_group_name_Hall '-R 3 2"'
_cell_length_a 7.9287
_cell_length_b 7.9287
_cell_length_c 18.9853
_cell_angle_alpha 90.00
_cell_angle_beta 90.00
_cell_angle_gamma 120.00
loop_
_atom_site_label
_atom_site_type_symbol
_atom_site_fract_x
_atom_site_fract_y
_atom_site_fract_z
Sm1 Sm 0.0000 0.5000 0.0000
Mg1 Mg 0.0000 0.0000 0.1249
Ti1 Ti 0.0000 0.0000 0.5000
S1 S 0.0000 0.0000 0.2530
S2 S 0.0229 0.5114 0.2428
```



Entry 5:
This entry pairs a crystal structure of Ta2C with its simulated X-ray powder pattern. Radiation: Cu Kα (weighted mean of Kα1 and Kα2). Structure: a DFT-relaxed cell (GGA-PBE, the Materials Project).

Peak list (7 most intense, 5 to 70 degrees two-theta, low angle first)
2θ/deg  d_spacing  I (rel.)  h k l
33.10  2.706  21  1 0 0
36.14  2.485  24  0 0 2
37.85  2.377  100  1 0 1
49.81  1.831  17  0 1 2
59.13  1.563  19  1 1 0
66.12  1.413  20  1 0 3
69.46  1.353  3  2 0 0

Crystal structure
```
data_Ta2C
_chemical_formula_sum 'Ta2 C1'
_space_group_name_H-M_alt 'P -3 m 1'
_space_group_IT_number 164
_space_group_name_Hall '-P 3 2"'
_cell_length_a 3.1251
_cell_length_b 3.1251
_cell_length_c 4.9708
_cell_angle_alpha 90.00
_cell_angle_beta 90.00
_cell_angle_gamma 120.00
loop_
_atom_site_label
_atom_site_type_symbol
_atom_site_fract_x
_atom_site_fract_y
_atom_site_fract_z
Ta1 Ta 0.3333 0.6667 0.2476
C1 C 0.0000 0.0000 0.5000
```